Record 1
Structure and theoretical powder X-ray diffraction pattern of BeCoBTe (a GGA-PBE-relaxed structure; Cu Kα (weighted mean of Kα1 and Kα2)).

Cell and atoms:
Unit cell a=3.2626 b=3.2626 c=18.7994 alpha=90.00 beta=90.00 gamma=120.00
Space group R3m (No. 160, hexagonal axes)
One atom of each set of equivalent atoms:
Be 0.0000 0.0000 0.0000 x3
Co 0.0000 0.0000 0.2697 x3
B 0.0000 0.0000 0.6301 x3
Te 0.0000 0.0000 0.1333 x3

Top 12 peaks for 2θ from 10° to 90°, low angle first:
- 14.13°, d = 6.266 Å, I 32, (0 0 3)
- 28.49°, d = 3.133 Å, I 47, (0 0 6)
- 32.03°, d = 2.794 Å, I 100, (1 0 1)
- 33.11°, d = 2.706 Å, I 60, (0 1 2)
- 37.13°, d = 2.422 Å, I 11, (1 0 4)
- 39.91°, d = 2.259 Å, I 20, (0 1 5)
- 46.66°, d = 1.947 Å, I 41, (1 0 7)
- 50.52°, d = 1.807 Å, I 36, (0 1 8)
- 56.40°, d = 1.631 Å, I 27, (1 1 0)
- 64.39°, d = 1.447 Å, I 26, (1 1 6)
- 66.35°, d = 1.409 Å, I 12, (0 2 1)
- 73.69°, d = 1.286 Å, I 12, (1 1 9)


Record 2
Structure and theoretical powder X-ray diffraction pattern of Be2CrB2 (a GGA-PBE-relaxed structure; Cu Kα (weighted mean of Kα1 and Kα2)).

Cell and atoms:
Unit cell a=4.028 b=4.112 c=4.910 alpha=99.27 beta=91.49 gamma=104.56
Space group P-1 (No. 2)
One atom of each set of equivalent atoms:
Be 0.167 0.120 0.199 x2
Be 0.264 0.544 0.904 x2
Cr 0.291 0.686 0.453 x2
B 0.170 0.172 0.592 x2
B 0.409 0.054 0.850 x2

Top 12 peaks for 2θ from 10° to 90°, low angle first:
- 18.35°, d = 4.834 Å, I 100, (0 0 1)
- 27.82°, d = 3.207 Å, I 20, (1 -1 0)
- 31.78°, d = 2.816 Å, I 13, (0 1 1)
- 32.17°, d = 2.783 Å, I 19, (1 -1 1)
- 36.52°, d = 2.460 Å, I 14, (1 1 0)
- 37.20°, d = 2.417 Å, I 14, (0 0 2)
- 38.44°, d = 2.342 Å, I 16, (1 1 -1)
- 43.76°, d = 2.069 Å, I 12, (1 1 1)
- 45.02°, d = 2.014 Å, I 13, (1 -1 2)
- 46.15°, d = 1.967 Å, I 12, (1 -2 0)
- 47.48°, d = 1.915 Å, I 15, (0 1 2)
- 48.61°, d = 1.873 Å, I 13, (1 1 -2)


Record 3
Structure and theoretical powder X-ray diffraction pattern of BeCrB (a GGA-PBE-relaxed structure; Cu Kα (weighted mean of Kα1 and Kα2)).

Cell and atoms:
Unit cell a=7.727 b=2.989 c=5.245 alpha=90.00 beta=126.42 gamma=90.00
Space group C2/m (No. 12)
One atom of each set of equivalent atoms:
Be 0.181 0.000 0.086 x4
Cr 0.076 0.500 0.333 x4
B 0.134 0.000 0.666 x4

Top 12 peaks for 2θ from 10° to 90°, low angle first:
- 21.05°, d = 4.221 Å, I 68, (0 0 1)
- 28.72°, d = 3.109 Å, I 32, (2 0 0)
- 33.26°, d = 2.694 Å, I 100, (1 1 0)
- 34.39°, d = 2.608 Å, I 55, (2 0 -2)
- 44.30°, d = 2.045 Å, I 58, (1 1 1)
- 45.35°, d = 2.000 Å, I 34, (2 0 1)
- 46.78°, d = 1.942 Å, I 53, (3 1 -1)
- 47.40°, d = 1.918 Å, I 62, (1 1 -2)
- 48.97°, d = 1.860 Å, I 28, (4 0 -1)
- 49.76°, d = 1.833 Å, I 49, (3 1 -2)
- 62.11°, d = 1.495 Å, I 19, (0 2 0)
- 68.77°, d = 1.365 Å, I 17, (3 1 1)